1.
Diffraction record for Pu3AgAu3. The powder X-ray diffraction pattern is computed, not measured: it uses a crystal structure in Alexandria, relaxed with GGA-PBE and Cu Kα.

Peak list (10 most intense, 2θ from 15° to 90°, in order of rising 2θ)
| hkl | 2theta | I (rel.) |
| --- | --- | --- |
| 1 1 2 | 34.81 | 68 |
| 0 1 7 | 35.78 | 100 |
| 0 2 0 | 36.85 | 35 |
| 1 1 4 | 38.09 | 12 |
| 1 2 5 | 52.28 | 24 |
| 2 0 0 | 58.03 | 10 |
| 1 3 2 | 65.07 | 11 |
| 0 3 7 | 65.69 | 11 |
| 2 1 7 | 70.10 | 26 |
| 2 2 0 | 70.74 | 13 |

Cell and atoms:
```
data_Pu3AgAu3
_chemical_formula_sum 'Pu6 Ag2 Au6'
_cell_length_a 3.1788
_cell_length_b 4.8786
_cell_length_c 20.4764
_cell_angle_alpha 90.00
_cell_angle_beta 90.00
_cell_angle_gamma 90.00
_symmetry_space_group_name_H-M 'I m m 2'
_symmetry_Int_Tables_number 44
loop_
_symmetry_equiv_pos_as_xyz
'x,y,z'
'-x,-y,z'
'-x,y,z'
'x,-y,z'
'x+1/2,y+1/2,z+1/2'
'-x+1/2,-y+1/2,z+1/2'
'-x+1/2,y+1/2,z+1/2'
'x+1/2,-y+1/2,z+1/2'
loop_
_atom_site_label
_atom_site_type_symbol
_atom_site_fract_x
_atom_site_fract_y
_atom_site_fract_z
Pu1 Pu 0.0000 0.0000 0.0000
Pu2 Pu 0.0000 0.0000 0.3992
Pu3 Pu 0.0000 0.5000 0.1954
Ag1 Ag 0.0000 0.5000 0.7668
Au1 Au 0.0000 0.0000 0.5542
Au2 Au 0.0000 0.0000 0.8409
Au3 Au 0.0000 0.5000 0.6316
```

2.
Diffraction record for Pu4Ag3Au. The powder X-ray diffraction pattern is computed, not measured: it uses a crystal structure in Alexandria, relaxed with GGA-PBE and Cu Kα.

Peak list (10 most intense, 2θ from 15° to 90°, in order of rising 2θ)
| hkl | 2theta | I (rel.) |
| --- | --- | --- |
| 0 1 2 | 22.92 | 14 |
| 0 1 4 | 34.69 | 58 |
| 0 2 0 | 35.28 | 100 |
| 1 0 3 | 37.19 | 31 |
| 1 1 3 | 41.35 | 10 |
| 1 2 3 | 52.22 | 24 |
| 0 3 4 | 62.98 | 10 |
| 1 3 1 | 63.35 | 13 |
| 2 1 4 | 72.22 | 14 |
| 2 2 0 | 72.60 | 9 |

Cell and atoms:
```
data_Pu4Ag3Au
_chemical_formula_sum 'Pu4 Ag3 Au1'
_cell_length_a 3.0330
_cell_length_b 5.0836
_cell_length_c 12.0137
_cell_angle_alpha 90.00
_cell_angle_beta 90.00
_cell_angle_gamma 90.00
_symmetry_space_group_name_H-M 'P m m 2'
_symmetry_Int_Tables_number 25
loop_
_symmetry_equiv_pos_as_xyz
'x,y,z'
'-x,-y,z'
'-x,y,z'
'x,-y,z'
loop_
_atom_site_label
_atom_site_type_symbol
_atom_site_fract_x
_atom_site_fract_y
_atom_site_fract_z
Pu1 Pu 0.0000 0.0000 0.0000
Pu2 Pu 0.0000 0.5000 0.3283
Pu3 Pu 0.5000 0.0000 0.4892
Pu4 Pu 0.5000 0.5000 0.8294
Ag1 Ag 0.0000 0.0000 0.7280
Ag2 Ag 0.0000 0.5000 0.5928
Ag3 Ag 0.5000 0.5000 0.0943
Au1 Au 0.5000 0.0000 0.2323
```

3.
Diffraction record for Pu3Ag4Au2. The powder X-ray diffraction pattern is computed, not measured: it uses a crystal structure in Alexandria, relaxed with GGA-PBE and Cu Kα.

Peak list (10 most intense, 2θ from 15° to 90°, in order of rising 2θ)
| hkl | 2theta | I (rel.) |
| --- | --- | --- |
| 1 1 1 | 18.85 | 2 |
| 2 0 0 | 20.69 | 6 |
| 3 3 0 | 36.21 | 100 |
| 4 0 2 | 52.15 | 18 |
| 0 0 4 | 60.92 | 4 |
| 5 3 2 | 65.15 | 19 |
| 6 0 0 | 65.18 | 9 |
| 3 3 4 | 72.98 | 13 |
| 6 6 0 | 76.92 | 5 |
| 7 3 2 | 88.08 | 9 |

Cell and atoms:
```
data_Pu3Ag4Au2
_chemical_formula_sum 'Pu12 Ag16 Au8'
_cell_length_a 8.5888
_cell_length_b 14.8717
_cell_length_c 6.0832
_cell_angle_alpha 90.00
_cell_angle_beta 90.00
_cell_angle_gamma 90.00
_symmetry_space_group_name_H-M 'C c c m'
_symmetry_Int_Tables_number 66
_symmetry_space_group_name_Hall '-C 2 2c'
loop_
_atom_site_label
_atom_site_type_symbol
_atom_site_fract_x
_atom_site_fract_y
_atom_site_fract_z
Pu1 Pu 0.0000 0.0000 0.2500
Pu2 Pu 0.0000 0.3287 0.2500
Ag1 Ag 0.1635 0.4993 0.0000
Ag2 Ag 0.1695 0.1654 0.0000
Au1 Au 0.1668 0.1644 0.5000
```

4.
Diffraction record for Rb2Ag2Au. The powder X-ray diffraction pattern is computed, not measured: it uses a crystal structure in Alexandria, relaxed with GGA-PBE and Cu Kα.

Peak list (10 most intense, 2θ from 15° to 90°, in order of rising 2θ)
| hkl | 2theta | I (rel.) |
| --- | --- | --- |
| 0 0 1 | 16.04 | 46 |
| 1 1 1 | 23.29 | 19 |
| 2 0 1 | 28.85 | 64 |
| 2 1 1 | 31.28 | 100 |
| 0 0 2 | 32.41 | 50 |
| 2 2 0 | 33.93 | 19 |
| 3 1 0 | 38.08 | 54 |
| 3 1 1 | 41.56 | 36 |
| 3 1 2 | 50.85 | 47 |
| 4 4 2 | 80.58 | 19 |

Cell and atoms:
```
data_Rb2Ag2Au
_chemical_formula_sum 'Rb4 Ag4 Au2'
_cell_length_a 7.4735
_cell_length_b 7.4735
_cell_length_c 5.5240
_cell_angle_alpha 90.00
_cell_angle_beta 90.00
_cell_angle_gamma 90.00
_symmetry_space_group_name_H-M 'P 4/m b m'
_symmetry_Int_Tables_number 127
_symmetry_space_group_name_Hall '-P 4 2ab'
loop_
_atom_site_label
_atom_site_type_symbol
_atom_site_fract_x
_atom_site_fract_y
_atom_site_fract_z
Rb1 Rb 0.1833 0.3167 0.0000
Ag1 Ag 0.1331 0.6331 0.5000
Au1 Au 0.0000 0.0000 0.5000
```

5.
Diffraction record for Rb7AgAu2. The powder X-ray diffraction pattern is computed, not measured: it uses a crystal structure in Alexandria, relaxed with GGA-PBE and Cu Kα.

Peak list (10 most intense, 2θ from 15° to 90°, in order of rising 2θ)
| hkl | 2theta | I (rel.) |
| --- | --- | --- |
| 0 0 9 | 15.57 | 17 |
| 1 0 1 | 16.90 | 18 |
| 0 1 2 | 17.16 | 37 |
| 0 1 5 | 18.92 | 28 |
| 1 1 0 | 29.32 | 100 |
| 0 1 14 | 29.72 | 95 |
| 2 0 14 | 42.24 | 36 |
| 3 0 0 | 52.01 | 20 |
| 1 2 14 | 52.25 | 38 |
| 1 0 28 | 52.98 | 17 |

Cell and atoms:
```
data_Rb7AgAu2
_chemical_formula_sum 'Rb21 Ag3 Au6'
_cell_length_a 6.0913
_cell_length_b 6.0913
_cell_length_c 51.2229
_cell_angle_alpha 90.00
_cell_angle_beta 90.00
_cell_angle_gamma 120.00
_symmetry_space_group_name_H-M 'R -3 m'
_symmetry_Int_Tables_number 166
_symmetry_space_group_name_Hall '-R 3 2"'
loop_
_atom_site_label
_atom_site_type_symbol
_atom_site_fract_x
_atom_site_fract_y
_atom_site_fract_z
Rb1 Rb 0.0000 0.0000 0.0000
Rb2 Rb 0.0000 0.0000 0.1410
Rb3 Rb 0.0000 0.0000 0.2835
Rb4 Rb 0.0000 0.0000 0.4259
Ag1 Ag 0.0000 0.0000 0.5000
Au1 Au 0.0000 0.0000 0.0710
```

6.
Diffraction record for Rb11AgAu5. The powder X-ray diffraction pattern is computed, not measured: it uses a crystal structure in Alexandria, relaxed with GGA-PBE and Cu Kα.

Peak list (10 most intense, 2θ from 15° to 90°, in order of rising 2θ)
| hkl | 2theta | I (rel.) |
| --- | --- | --- |
| 1 3 0 | 18.34 | 26 |
| 0 2 2 | 24.31 | 66 |
| 1 1 2 | 25.52 | 30 |
| 3 3 -1 | 26.64 | 53 |
| 2 4 0 | 26.79 | 40 |
| 4 0 -1 | 27.01 | 100 |
| 1 3 2 | 30.22 | 27 |
| 4 2 -2 | 31.70 | 26 |
| 1 3 -3 | 35.30 | 27 |
| 4 2 1 | 35.95 | 35 |

Cell and atoms:
```
data_Rb11AgAu5
_chemical_formula_sum 'Rb22 Ag2 Au10'
_cell_length_a 13.2172
_cell_length_b 15.7564
_cell_length_c 8.7835
_cell_angle_alpha 90.00
_cell_angle_beta 109.71
_cell_angle_gamma 90.00
_symmetry_space_group_name_H-M 'C 1 2/m 1'
_symmetry_Int_Tables_number 12
loop_
_symmetry_equiv_pos_as_xyz
'x,y,z'
'-x,-y,-z'
'-x,y,-z'
'x,-y,z'
'x+1/2,y+1/2,z'
'-x+1/2,-y+1/2,-z'
'-x+1/2,y+1/2,-z'
'x+1/2,-y+1/2,z'
loop_
_atom_site_label
_atom_site_type_symbol
_atom_site_fract_x
_atom_site_fract_y
_atom_site_fract_z
Rb1 Rb 0.0000 0.0000 0.0000
Rb2 Rb 0.0694 0.2236 0.7831
Rb3 Rb 0.1609 0.5000 0.8936
Rb4 Rb 0.2076 0.3777 0.4201
Ag1 Ag 0.0000 0.0000 0.5000
Au1 Au 0.0000 0.5000 0.5000
Au2 Au 0.1848 0.1777 0.1833
```

7.
Diffraction record for Rb5Ag2Au2. The powder X-ray diffraction pattern is computed, not measured: it uses a crystal structure in Alexandria, relaxed with GGA-PBE and Cu Kα.

Peak list (10 most intense, 2θ from 15° to 90°, in order of rising 2θ)
| hkl | 2theta | I (rel.) |
| --- | --- | --- |
| 1 1 1 | 16.97 | 46 |
| 5 1 0 | 24.31 | 35 |
| 4 0 -2 | 25.21 | 31 |
| 1 3 -1 | 27.60 | 47 |
| 3 3 0 | 28.51 | 100 |
| 4 2 1 | 30.72 | 52 |
| 5 1 1 | 31.10 | 28 |
| 2 4 0 | 34.72 | 29 |
| 5 3 -2 | 37.25 | 29 |
| 1 1 -3 | 37.72 | 29 |

Cell and atoms:
```
data_Rb5Ag2Au2
_chemical_formula_sum 'Rb20 Ag8 Au8'
_cell_length_a 20.8871
_cell_length_b 10.7203
_cell_length_c 7.5820
_cell_angle_alpha 90.00
_cell_angle_beta 111.13
_cell_angle_gamma 90.00
_symmetry_space_group_name_H-M 'C 1 c 1'
_symmetry_Int_Tables_number 9
loop_
_symmetry_equiv_pos_as_xyz
'x,y,z'
'x,-y,z+1/2'
'x+1/2,y+1/2,z'
'x+1/2,-y+1/2,z+1/2'
loop_
_atom_site_label
_atom_site_type_symbol
_atom_site_fract_x
_atom_site_fract_y
_atom_site_fract_z
Rb1 Rb 0.0000 0.0435 0.0000
Rb2 Rb 0.1310 0.4565 0.1301
Rb3 Rb 0.2023 0.1127 0.3594
Rb4 Rb 0.3155 0.3140 0.9628
Rb5 Rb 0.4284 0.1123 0.5851
Ag1 Ag 0.1346 0.2043 0.8105
Ag2 Ag 0.4962 0.2041 0.1737
Au1 Au 0.0652 0.2503 0.4166
Au2 Au 0.3153 0.3627 0.4571
```

8.
Diffraction record for RbAgSb2Au. The powder X-ray diffraction pattern is computed, not measured: it uses a crystal structure in Alexandria, relaxed with GGA-PBE and Cu Kα.

Peak list (10 most intense, 2θ from 15° to 90°, in order of rising 2θ)
| hkl | 2theta | I (rel.) |
| --- | --- | --- |
| 0 0 2 | 15.17 | 41 |
| 1 0 1 | 19.55 | 25 |
| 1 0 3 | 29.23 | 52 |
| 1 1 2 | 29.86 | 100 |
| 2 0 0 | 36.46 | 78 |
| 1 1 4 | 40.30 | 63 |
| 2 1 3 | 47.40 | 27 |
| 2 2 0 | 52.52 | 27 |
| 3 1 2 | 61.59 | 25 |
| 3 1 4 | 68.21 | 26 |

Cell and atoms:
```
data_RbAgSb2Au
_chemical_formula_sum 'Rb2 Ag2 Sb4 Au2'
_cell_length_a 4.9285
_cell_length_b 4.9285
_cell_length_c 11.6798
_cell_angle_alpha 90.00
_cell_angle_beta 90.00
_cell_angle_gamma 90.00
_symmetry_space_group_name_H-M 'I -4 m 2'
_symmetry_Int_Tables_number 119
_symmetry_space_group_name_Hall 'I -4 -2'
loop_
_atom_site_label
_atom_site_type_symbol
_atom_site_fract_x
_atom_site_fract_y
_atom_site_fract_z
Rb1 Rb 0.0000 0.0000 0.0000
Ag1 Ag 0.0000 0.5000 0.7500
Sb1 Sb 0.0000 0.0000 0.3736
Au1 Au 0.0000 0.5000 0.2500
```

9.
Diffraction record for RbAgTe2Au. The powder X-ray diffraction pattern is computed, not measured: it uses a crystal structure in Alexandria, relaxed with GGA-PBE and Cu Kα.

Peak list (10 most intense, 2θ from 15° to 90°, in order of rising 2θ)
| hkl | 2theta | I (rel.) |
| --- | --- | --- |
| 2 0 0 | 25.04 | 61 |
| 0 2 2 | 26.90 | 79 |
| 1 3 1 | 27.30 | 100 |
| 2 0 1 | 27.56 | 37 |
| 2 2 1 | 31.12 | 72 |
| 0 4 2 | 36.81 | 48 |
| 2 4 1 | 40.11 | 52 |
| 2 0 3 | 43.02 | 33 |
| 2 2 3 | 45.52 | 57 |
| 0 6 2 | 49.57 | 29 |

Cell and atoms:
```
data_RbAgTe2Au
_chemical_formula_sum 'Rb4 Ag4 Te8 Au4'
_cell_length_a 7.1112
_cell_length_b 12.5008
_cell_length_c 7.8222
_cell_angle_alpha 90.00
_cell_angle_beta 90.00
_cell_angle_gamma 90.00
_symmetry_space_group_name_H-M 'C m m e'
_symmetry_Int_Tables_number 67
_symmetry_space_group_name_Hall '-C 2a 2'
loop_
_atom_site_label
_atom_site_type_symbol
_atom_site_fract_x
_atom_site_fract_y
_atom_site_fract_z
Rb1 Rb 0.0000 0.2500 0.2475
Ag1 Ag 0.2500 0.0000 0.5000
Te1 Te 0.0000 0.1104 0.7169
Au1 Au 0.0000 0.0000 0.0000
```

10.
Diffraction record for TmAgRhAu. The powder X-ray diffraction pattern is computed, not measured: it uses a crystal structure in Alexandria, relaxed with GGA-PBE and Cu Kα.

Peak list (10 most intense, 2θ from 15° to 90°, in order of rising 2θ)
| hkl | 2theta | I (rel.) |
| --- | --- | --- |
| 1 1 1 | 37.43 | 100 |
| 0 0 2 | 40.78 | 20 |
| 0 2 0 | 44.36 | 15 |
| 2 0 0 | 45.23 | 15 |
| 0 2 2 | 61.82 | 11 |
| 2 0 2 | 62.52 | 11 |
| 1 1 3 | 72.02 | 15 |
| 1 3 1 | 77.06 | 12 |
| 3 1 1 | 78.31 | 12 |
| 2 2 2 | 79.84 | 11 |

Cell and atoms:
```
data_TmAgRhAu
_chemical_formula_sum 'Tm1 Ag1 Rh1 Au1'
_cell_length_a 4.0094
_cell_length_b 4.0838
_cell_length_c 4.4258
_cell_angle_alpha 90.00
_cell_angle_beta 90.00
_cell_angle_gamma 90.00
_symmetry_space_group_name_H-M 'P m m m'
_symmetry_Int_Tables_number 47
loop_
_symmetry_equiv_pos_as_xyz
'x,y,z'
'-x,-y,-z'
'-x,-y,z'
'x,y,-z'
'x,-y,-z'
'-x,y,z'
'-x,y,-z'
'x,-y,z'
loop_
_atom_site_label
_atom_site_type_symbol
_atom_site_fract_x
_atom_site_fract_y
_atom_site_fract_z
Tm1 Tm 0.0000 0.0000 0.0000
Ag1 Ag 0.0000 0.5000 0.5000
Rh1 Rh 0.5000 0.5000 0.0000
Au1 Au 0.5000 0.0000 0.5000
```

11.
Diffraction record for Ag2SnRuAu. The powder X-ray diffraction pattern is computed, not measured: it uses a crystal structure in Alexandria, relaxed with GGA-PBE and Cu Kα.

Peak list (10 most intense, 2θ from 15° to 90°, in order of rising 2θ)
| hkl | 2theta | I (rel.) |
| --- | --- | --- |
| 1 0 0 | 17.43 | 60 |
| 0 0 1 | 17.58 | 25 |
| 1 0 1 | 24.85 | 38 |
| 1 1 1 | 30.51 | 45 |
| 2 0 0 | 35.28 | 100 |
| 0 0 2 | 35.58 | 49 |
| 2 1 0 | 39.64 | 30 |
| 2 2 0 | 50.75 | 35 |
| 2 0 2 | 50.98 | 69 |
| 2 2 2 | 63.51 | 36 |

Cell and atoms:
```
data_Ag2SnRuAu
_chemical_formula_sum 'Ag2 Sn1 Ru1 Au1'
_cell_length_a 5.0885
_cell_length_b 5.0885
_cell_length_c 5.0459
_cell_angle_alpha 90.00
_cell_angle_beta 90.00
_cell_angle_gamma 90.00
_symmetry_space_group_name_H-M 'P 4/m m m'
_symmetry_Int_Tables_number 123
_symmetry_space_group_name_Hall '-P 4 2'
loop_
_atom_site_label
_atom_site_type_symbol
_atom_site_fract_x
_atom_site_fract_y
_atom_site_fract_z
Ag1 Ag 0.0000 0.5000 0.0000
Sn1 Sn 0.0000 0.0000 0.5000
Ru1 Ru 0.5000 0.5000 0.5000
Au1 Au 0.0000 0.0000 0.0000
```

12.
Diffraction record for AgAu2S2. The powder X-ray diffraction pattern is computed, not measured: it uses a crystal structure in Alexandria, relaxed with GGA-PBE and Cu Kα.

Peak list (10 most intense, 2θ from 15° to 90°, in order of rising 2θ)
| hkl | 2theta | I (rel.) |
| --- | --- | --- |
| 1 1 0 | 23.13 | 100 |
| 1 1 1 | 26.64 | 62 |
| 1 0 -2 | 27.99 | 58 |
| 2 1 0 | 31.92 | 76 |
| 0 1 2 | 32.16 | 84 |
| 2 1 -1 | 34.11 | 33 |
| 1 1 -2 | 34.28 | 54 |
| 1 1 2 | 34.96 | 42 |
| 2 0 2 | 36.69 | 50 |
| 1 2 0 | 41.44 | 39 |

Cell and atoms:
```
data_AgAu2S2
_chemical_formula_sum 'Ag2 Au4 S4'
_cell_length_a 7.0952
_cell_length_b 4.5799
_cell_length_c 7.0149
_cell_angle_alpha 90.00
_cell_angle_beta 92.03
_cell_angle_gamma 90.00
_symmetry_space_group_name_H-M 'P 1 c 1'
_symmetry_Int_Tables_number 7
loop_
_symmetry_equiv_pos_as_xyz
'x,y,z'
'x,-y,z+1/2'
loop_
_atom_site_label
_atom_site_type_symbol
_atom_site_fract_x
_atom_site_fract_y
_atom_site_fract_z
Ag1 Ag 0.0000 0.2070 0.0000
Au1 Au 0.4176 0.4963 0.0970
Au2 Au 0.6523 0.1121 0.3556
S1 S 0.3765 0.1715 0.8435
S2 S 0.9579 0.2912 0.3534
```

13.
Diffraction record for AgAuS2. The powder X-ray diffraction pattern is computed, not measured: it uses a crystal structure in Alexandria, relaxed with GGA-PBE and Cu Kα.

Peak list (10 most intense, 2θ from 15° to 90°, in order of rising 2θ)
| hkl | 2theta | I (rel.) |
| --- | --- | --- |
| 0 0 2 | 22.35 | 18 |
| 1 1 0 | 24.31 | 100 |
| 0 1 2 | 27.54 | 60 |
| 1 0 2 | 29.02 | 92 |
| 0 2 0 | 32.09 | 31 |
| 1 2 2 | 43.81 | 51 |
| 2 1 2 | 46.77 | 49 |
| 2 2 0 | 49.80 | 17 |
| 1 1 4 | 52.34 | 25 |
| 0 3 2 | 54.47 | 16 |

Cell and atoms:
```
data_AgAuS2
_chemical_formula_sum 'Ag2 Au2 S4'
_cell_length_a 4.8542
_cell_length_b 5.5786
_cell_length_c 7.9571
_cell_angle_alpha 90.00
_cell_angle_beta 90.00
_cell_angle_gamma 90.00
_symmetry_space_group_name_H-M 'P c c m'
_symmetry_Int_Tables_number 49
loop_
_symmetry_equiv_pos_as_xyz
'x,y,z'
'-x,-y,-z'
'-x,-y,z'
'x,y,-z'
'x,-y,-z+1/2'
'-x,y,z+1/2'
'-x,y,-z+1/2'
'x,-y,z+1/2'
loop_
_atom_site_label
_atom_site_type_symbol
_atom_site_fract_x
_atom_site_fract_y
_atom_site_fract_z
Ag1 Ag 0.0000 0.0000 0.2500
Au1 Au 0.5000 0.5000 0.0000
S1 S 0.3251 0.1155 0.0000
```

14.
Diffraction record for Ag2AuS2. The powder X-ray diffraction pattern is computed, not measured: it uses a crystal structure in Alexandria, relaxed with GGA-PBE and Cu Kα.

Peak list (10 most intense, 2θ from 15° to 90°, in order of rising 2θ)
| hkl | 2theta | I (rel.) |
| --- | --- | --- |
| 4 0 -1 | 26.27 | 23 |
| 3 1 0 | 27.95 | 95 |
| 1 1 -2 | 30.25 | 80 |
| 4 0 -2 | 30.39 | 100 |
| 2 0 2 | 33.78 | 24 |
| 1 1 2 | 34.55 | 44 |
| 0 2 0 | 36.82 | 68 |
| 5 1 0 | 40.13 | 26 |
| 4 0 2 | 45.42 | 25 |
| 4 2 -2 | 48.46 | 53 |

Cell and atoms:
```
data_Ag2AuS2
_chemical_formula_sum 'Ag8 Au4 S8'
_cell_length_a 13.6257
_cell_length_b 4.8825
_cell_length_c 7.4613
_cell_angle_alpha 90.00
_cell_angle_beta 111.74
_cell_angle_gamma 90.00
_symmetry_space_group_name_H-M 'C 1 2/m 1'
_symmetry_Int_Tables_number 12
loop_
_symmetry_equiv_pos_as_xyz
'x,y,z'
'-x,-y,-z'
'-x,y,-z'
'x,-y,z'
'x+1/2,y+1/2,z'
'-x+1/2,-y+1/2,-z'
'-x+1/2,y+1/2,-z'
'x+1/2,-y+1/2,z'
loop_
_atom_site_label
_atom_site_type_symbol
_atom_site_fract_x
_atom_site_fract_y
_atom_site_fract_z
Ag1 Ag 0.0727 0.0000 0.3768
Ag2 Ag 0.1694 0.5000 0.0931
Au1 Au 0.1748 0.5000 0.5969
S1 S 0.0517 0.5000 0.2806
S2 S 0.2058 0.0000 0.0853
```